Entry 1:
For Tb8Sm6Cd, a cell relaxed with PBE gives the calculated powder diffraction line list in this record (Cu Kα (weighted mean of Kα1 and Kα2)).
Intensities are scaled so that the largest is 1000.

Structure:
```
data_Tb8Sm6Cd
_cell_length_a 9.4627
_cell_length_b 9.4627
_cell_length_c 6.3316
_cell_angle_alpha 90.00
_cell_angle_beta 90.00
_cell_angle_gamma 120.00
_space_group_name_H-M_alt 'P -3'
_space_group_IT_number 147
_space_group_name_Hall '-P 3'
loop_
_atom_site_label
_atom_site_type_symbol
_atom_site_fract_x
_atom_site_fract_y
_atom_site_fract_z
Tb1 Tb 0.0402 0.7771 0.3095
Tb2 Tb 0.3333 0.6667 0.3219
Sm1 Sm 0.0916 0.6381 0.8141
Cd1 Cd 0.0000 0.0000 0.0000
```

The 10 most intense peaks (2θ = 5–70°), low angle first:
Position (°2θ)  d [Å]  I (rel.)  (hkl)
25.9  3.440  116  2 0 1
28.2  3.166  156  0 0 2
28.8  3.097  216  1 2 0
30.3  2.953  101  1 0 2
32.2  2.782  1000  1 2 1
34.1  2.631  178  2 -1 2
40.8  2.214  139  3 -1 2
51.1  1.788  184  4 1 0
59.4  1.557  96  4 1 2
61.7  1.504  128  6 -2 1

=====

Entry 2:
For ErMg4Sc, a cell relaxed with PBE gives the calculated powder diffraction line list in this record (Cu Kα (weighted mean of Kα1 and Kα2)).
Intensities are scaled so that the largest is 1000.

Structure:
```
data_ErMg4Sc
_cell_length_a 5.1384
_cell_length_b 6.4064
_cell_length_c 8.9353
_cell_angle_alpha 90.00
_cell_angle_beta 90.00
_cell_angle_gamma 90.00
_space_group_name_H-M_alt 'I m m m'
_space_group_IT_number 71
_space_group_name_Hall '-I 2 2'
loop_
_atom_site_label
_atom_site_type_symbol
_atom_site_fract_x
_atom_site_fract_y
_atom_site_fract_z
Er1 Er 0.0000 0.0000 0.0000
Mg1 Mg 0.0000 0.2490 0.3335
Sc1 Sc 0.0000 0.5000 0.0000
```

The 10 most intense peaks (2θ = 5–70°), low angle first:
Position (°2θ)  d [Å]  I (rel.)  (hkl)
17.0  5.206  377  0 1 1
19.9  4.459  724  0 0 2
22.2  4.008  211  1 1 0
29.9  2.984  201  1 1 2
34.5  2.601  1000  1 2 1
34.8  2.577  465  1 0 3
34.9  2.569  231  2 0 0
49.9  1.829  230  2 2 2
62.2  1.493  233  2 2 4
69.1  1.360  180  2 4 0